For Li4CrBiTe2O12, a structure optimized by DFT (PBE+U) gives the simulated X-ray powder pattern in this record (Cu Ka).

Structure:
Cell: 5.2232 5.4882 7.5892 Å, 94.07 90.10 90.13°
Space group P1 (No. 1)
Unique sites:
Li: 0.0000 0.0000 0.0000 x1
Li: 0.0064 0.9924 0.5500 x1
Li: 0.5043 0.4618 0.0062 x1
Li: 0.5155 0.4487 0.5644 x1
Cr: 0.0055 0.4150 0.8129 x1
Bi: 0.5080 0.9090 0.3083 x1
Te: 0.0075 0.4096 0.3137 x1
Te: 0.5054 0.9046 0.8125 x1
O: 0.1351 0.3963 0.0764 x1
O: 0.1740 0.7143 0.3971 x1
O: 0.2023 0.0862 0.7615 x1
O: 0.3102 0.2329 0.4002 x1
O: 0.3277 0.5944 0.7641 x1
O: 0.3583 0.8902 0.0521 x1
O: 0.6469 0.8720 0.5714 x1
O: 0.6813 0.5545 0.2491 x1
O: 0.7016 0.1949 0.8812 x1
O: 0.7943 0.7120 0.8861 x1
O: 0.8612 0.0819 0.2489 x1
O: 0.8827 0.3742 0.5538 x1

Largest 12 diffraction maxima, sorted by position, 2θ from 10° to 90°:
d (Å)  Position (°2θ)  I/Imax
7.570  11.7  12
5.474  16.2  6
3.781  23.5  100
2.741  32.7  41
2.611  34.3  27
2.149  42.1  18
1.892  48.1  12
1.726  53.1  19
1.723  53.2  9
1.660  55.3  12
1.532  60.4  8
1.509  61.5  8



For CrBiO5, a structure optimized by DFT (PBE+U) gives the simulated X-ray powder pattern in this record (Cu Ka).

Structure:
Cell: 6.2076 15.8997 11.7052 Å, 90.00 90.00 90.00°
Space group Pbca (No. 61)
Unique sites:
Cr: 0.0212 0.1174 0.0995 x8
Bi: 0.0722 0.7144 0.6780 x8
O: 0.1099 0.1990 0.1959 x8
O: 0.1105 0.5474 0.3317 x8
O: 0.1428 0.6616 0.5038 x8
O: 0.2267 0.1525 0.7932 x8
O: 0.2362 0.0788 0.0458 x8

Largest 12 diffraction maxima, sorted by position, 2θ from 10° to 90°:
d (Å)  Position (°2θ)  I/Imax
7.950  11.1  100
5.853  15.1  20
5.184  17.1  22
4.713  18.8  30
4.113  21.6  25
3.811  23.3  18
3.761  23.7  41
3.320  26.9  42
3.046  29.3  15
2.611  34.3  40
2.291  39.3  15
1.895  48.0  15